Starting from a cell relaxed with PBE, the X-ray powder pattern of Pr2TlSn4 was simulated for Cu Kα (λ = 1.5418 Å).
Neutral-atom scattering factors, no anomalous dispersion.

Top 12 peaks for 10 to 90 degrees two-theta, in order of rising 2θ:
- 2θ = 16.24°, rel. 23
- 2θ = 32.83°, rel. 100
- 2θ = 36.75°, rel. 19
- 2θ = 38.61°, rel. 16
- 2θ = 38.87°, rel. 16
- 2θ = 54.36°, rel. 12
- 2θ = 54.56°, rel. 12
- 2θ = 55.94°, rel. 11
- 2θ = 63.72°, rel. 16
- 2θ = 66.22°, rel. 14
- 2θ = 66.58°, rel. 13
- 2θ = 68.82°, rel. 12

Structure:
Unit cell a=9.267 b=9.328 c=9.782 alpha=90.00 beta=90.00 gamma=90.00
Space group Fmmm (No. 69)
Inequivalent atoms, fractional coordinates:
Pr1 0.250 0.250 0.000 x8
Tl1 0.000 0.000 0.000 x4
Sn1 0.000 0.250 0.250 x8
Sn2 0.250 0.000 0.250 x8

***

Starting from a cell relaxed with PBE, the X-ray powder pattern of RbPd3F9 was simulated for Cu Kα (λ = 1.5418 Å).
Neutral-atom scattering factors, no anomalous dispersion.

Top 12 peaks for 10 to 90 degrees two-theta, in order of rising 2θ:
- 2θ = 21.36°, rel. 29
- 2θ = 25.15°, rel. 43
- 2θ = 26.43°, rel. 100
- 2θ = 31.47°, rel. 29
- 2θ = 43.51°, rel. 16
- 2θ = 45.89°, rel. 12
- 2θ = 46.66°, rel. 33
- 2θ = 51.63°, rel. 30
- 2θ = 53.73°, rel. 12
- 2θ = 54.42°, rel. 15
- 2θ = 65.69°, rel. 22
- 2θ = 72.12°, rel. 13

Structure:
Unit cell a=7.7870 b=7.7870 c=4.1599 alpha=90.00 beta=90.00 gamma=120.00
Space group P6/mmm (No. 191)
Inequivalent atoms, fractional coordinates:
Rb1 0.0000 0.0000 0.0000 x1
Pd1 0.0000 0.5000 0.5000 x3
F1 0.0000 0.5000 0.0000 x3
F2 0.1994 0.3988 0.5000 x6

***

Starting from a cell relaxed with PBE, the X-ray powder pattern of Sc8Te was simulated for Cu Kα (λ = 1.5418 Å).
Neutral-atom scattering factors, no anomalous dispersion.

Top 12 peaks for 10 to 90 degrees two-theta, in order of rising 2θ:
- 2θ = 12.70°, rel. 13
- 2θ = 17.99°, rel. 7
- 2θ = 22.11°, rel. 7
- 2θ = 28.64°, rel. 12
- 2θ = 34.04°, rel. 100
- 2θ = 38.75°, rel. 39
- 2θ = 40.99°, rel. 16
- 2θ = 55.96°, rel. 11
- 2θ = 57.68°, rel. 20
- 2θ = 67.14°, rel. 25
- 2θ = 70.22°, rel. 12
- 2θ = 71.66°, rel. 10

Structure:
Unit cell a=9.859 b=9.859 c=4.403 alpha=90.00 beta=90.00 gamma=90.00
Space group I4/mmm (No. 139)
Inequivalent atoms, fractional coordinates:
Sc1 0.000 0.336 0.000 x8
Sc2 0.165 0.165 0.500 x8
Te1 0.000 0.000 0.000 x2

***

Starting from a cell relaxed with PBE, the X-ray powder pattern of K3AuO3 was simulated for Cu Kα (λ = 1.5418 Å).
Neutral-atom scattering factors, no anomalous dispersion.

Top 12 peaks for 10 to 90 degrees two-theta, in order of rising 2θ:
- 2θ = 12.70°, rel. 59
- 2θ = 20.39°, rel. 100
- 2θ = 22.09°, rel. 28
- 2θ = 25.56°, rel. 23
- 2θ = 30.23°, rel. 76
- 2θ = 32.08°, rel. 32
- 2θ = 37.76°, rel. 49
- 2θ = 38.76°, rel. 26
- 2θ = 49.93°, rel. 16
- 2θ = 51.16°, rel. 23
- 2θ = 60.20°, rel. 19
- 2θ = 60.94°, rel. 22

Structure:
Unit cell a=8.0483 b=8.0483 c=5.5809 alpha=90.00 beta=90.00 gamma=120.00
Space group P6_3/m (No. 176)
Inequivalent atoms, fractional coordinates:
K1 0.0934 0.7326 0.2500 x6
Au1 0.3333 0.6667 0.7500 x2
O1 0.1031 0.7065 0.7500 x6

***

Starting from a cell relaxed with PBE, the X-ray powder pattern of Nd2AlZnNi6 was simulated for Cu Kα (λ = 1.5418 Å).
Neutral-atom scattering factors, no anomalous dispersion.

Top 12 peaks for 10 to 90 degrees two-theta, in order of rising 2θ:
- 2θ = 30.14°, rel. 60
- 2θ = 30.28°, rel. 100
- 2θ = 30.41°, rel. 59
- 2θ = 30.58°, rel. 27
- 2θ = 30.85°, rel. 31
- 2θ = 34.52°, rel. 27
- 2θ = 42.62°, rel. 80
- 2θ = 42.75°, rel. 63
- 2θ = 43.44°, rel. 26
- 2θ = 43.60°, rel. 32
- 2θ = 43.74°, rel. 75
- 2θ = 43.91°, rel. 36

Structure:
Unit cell a=11.593 b=4.941 c=8.187 alpha=90.00 beta=134.43 gamma=90.00
Space group C2/m (No. 12)
Inequivalent atoms, fractional coordinates:
Nd1 0.245 0.000 0.194 x4
Al1 0.000 0.000 0.500 x2
Zn1 0.000 0.500 0.000 x2
Ni1 0.014 0.253 0.268 x8
Ni2 0.250 0.000 0.573 x4

***

Starting from a cell relaxed with PBE, the X-ray powder pattern of Ba3ZnGe3 was simulated for Cu Kα (λ = 1.5418 Å).
Neutral-atom scattering factors, no anomalous dispersion.

Top 12 peaks for 10 to 90 degrees two-theta, in order of rising 2θ:
- 2θ = 18.34°, rel. 51
- 2θ = 22.82°, rel. 30
- 2θ = 25.21°, rel. 51
- 2θ = 27.12°, rel. 99
- 2θ = 28.18°, rel. 100
- 2θ = 31.35°, rel. 25
- 2θ = 32.05°, rel. 56
- 2θ = 38.75°, rel. 25
- 2θ = 39.51°, rel. 80
- 2θ = 42.47°, rel. 51
- 2θ = 47.94°, rel. 27
- 2θ = 56.69°, rel. 33

Structure:
Unit cell a=9.6747 b=9.6747 c=6.5760 alpha=90.00 beta=90.00 gamma=120.00
Space group P6_3/m (No. 176)
Inequivalent atoms, fractional coordinates:
Ba1 0.0722 0.3478 0.2500 x6
Zn1 0.3333 0.6667 0.7500 x2
Ge1 0.0780 0.4141 0.7500 x6

***

Starting from a cell relaxed with PBE, the X-ray powder pattern of CeMn2CN was simulated for Cu Kα (λ = 1.5418 Å).
Neutral-atom scattering factors, no anomalous dispersion.

Top 12 peaks for 10 to 90 degrees two-theta, in order of rising 2θ:
- 2θ = 27.47°, rel. 23
- 2θ = 30.67°, rel. 24
- 2θ = 32.38°, rel. 58
- 2θ = 37.49°, rel. 61
- 2θ = 38.25°, rel. 45
- 2θ = 38.86°, rel. 100
- 2θ = 39.97°, rel. 25
- 2θ = 44.86°, rel. 20
- 2θ = 53.42°, rel. 22
- 2θ = 56.69°, rel. 22
- 2θ = 63.87°, rel. 17
- 2θ = 68.80°, rel. 16

Structure:
Unit cell a=3.430 b=10.070 c=6.618 alpha=90.00 beta=90.00 gamma=90.00
Space group Cmcm (No. 63)
Inequivalent atoms, fractional coordinates:
Ce1 0.000 0.041 0.250 x4
Mn1 0.000 0.314 0.062 x8
C1 0.000 0.237 0.750 x4
N1 0.000 0.500 0.000 x4

***

Starting from a cell relaxed with PBE, the X-ray powder pattern of Hf7SnSb3 was simulated for Cu Kα (λ = 1.5418 Å).
Neutral-atom scattering factors, no anomalous dispersion.

Top 12 peaks for 10 to 90 degrees two-theta, in order of rising 2θ:
- 2θ = 27.04°, rel. 15
- 2θ = 30.72°, rel. 15
- 2θ = 33.30°, rel. 60
- 2θ = 33.99°, rel. 62
- 2θ = 36.37°, rel. 23
- 2θ = 38.13°, rel. 100
- 2θ = 48.33°, rel. 38
- 2θ = 62.72°, rel. 23
- 2θ = 63.60°, rel. 17
- 2θ = 71.50°, rel. 13
- 2θ = 71.91°, rel. 11
- 2θ = 81.58°, rel. 16

Structure:
Unit cell a=5.382 b=9.085 c=10.548 alpha=90.00 beta=90.00 gamma=90.00
Space group Immm (No. 71)
Inequivalent atoms, fractional coordinates:
Hf1 0.000 0.000 0.000 x2
Hf2 0.000 0.179 0.500 x4
Hf3 0.000 0.329 0.234 x8
Sn1 0.000 0.500 0.500 x2
Sb1 0.000 0.000 0.271 x4
Sb2 0.000 0.500 0.000 x2

***

Starting from a cell relaxed with PBE, the X-ray powder pattern of Li2Ho2ErSn2 was simulated for Cu Kα (λ = 1.5418 Å).
Neutral-atom scattering factors, no anomalous dispersion.

Top 12 peaks for 10 to 90 degrees two-theta, in order of rising 2θ:
- 2θ = 21.82°, rel. 94
- 2θ = 32.28°, rel. 89
- 2θ = 34.96°, rel. 100
- 2θ = 37.79°, rel. 99
- 2θ = 44.06°, rel. 15
- 2θ = 50.53°, rel. 26
- 2θ = 52.31°, rel. 12
- 2θ = 52.42°, rel. 32
- 2θ = 59.41°, rel. 12
- 2θ = 64.79°, rel. 25
- 2θ = 66.37°, rel. 67
- 2θ = 68.23°, rel. 18

Structure:
Unit cell a=4.7613 b=4.7613 c=26.2316 alpha=90.00 beta=90.00 gamma=120.00
Space group R-3m (No. 166, hexagonal axes)
Inequivalent atoms, fractional coordinates:
Li1 0.0000 0.0000 0.0994 x6
Ho1 0.0000 0.0000 0.3713 x6
Er1 0.0000 0.0000 0.5000 x3
Sn1 0.0000 0.0000 0.2361 x6

***

Starting from a cell relaxed with PBE, the X-ray powder pattern of Mg5InAg2Sn2 was simulated for Cu Kα (λ = 1.5418 Å).
Neutral-atom scattering factors, no anomalous dispersion.

Top 12 peaks for 10 to 90 degrees two-theta, in order of rising 2θ:
- 2θ = 22.18°, rel. 15
- 2θ = 24.84°, rel. 71
- 2θ = 24.99°, rel. 44
- 2θ = 28.39°, rel. 16
- 2θ = 32.57°, rel. 22
- 2θ = 33.54°, rel. 22
- 2θ = 33.65°, rel. 32
- 2θ = 35.52°, rel. 100
- 2θ = 38.17°, rel. 25
- 2θ = 40.65°, rel. 16
- 2θ = 51.28°, rel. 15
- 2θ = 55.65°, rel. 19

Structure:
Unit cell a=11.337 b=11.337 c=3.563 alpha=90.00 beta=90.00 gamma=90.00
Space group P4/mbm (No. 127)
Inequivalent atoms, fractional coordinates:
Mg1 0.000 0.500 0.000 x2
Mg2 0.029 0.214 0.000 x8
In1 0.000 0.000 0.500 x2
Ag1 0.133 0.367 0.500 x4
Sn1 0.183 0.683 0.500 x4

***

Starting from a cell relaxed with PBE, the X-ray powder pattern of Er4PaC4 was simulated for Cu Kα (λ = 1.5418 Å).
Neutral-atom scattering factors, no anomalous dispersion.

Top 12 peaks for 10 to 90 degrees two-theta, in order of rising 2θ:
- 2θ = 30.43°, rel. 100
- 2θ = 30.58°, rel. 32
- 2θ = 35.26°, rel. 54
- 2θ = 35.45°, rel. 27
- 2θ = 50.60°, rel. 10
- 2θ = 50.80°, rel. 27
- 2θ = 50.95°, rel. 19
- 2θ = 60.25°, rel. 20
- 2θ = 60.34°, rel. 9
- 2θ = 60.52°, rel. 23
- 2θ = 63.32°, rel. 14
- 2θ = 82.73°, rel. 9

Structure:
Unit cell a=11.886 b=3.608 c=8.806 alpha=90.00 beta=119.68 gamma=90.00
Space group C2/m (No. 12)
Inequivalent atoms, fractional coordinates:
Er1 0.112 0.000 0.390 x4
Er2 0.204 0.500 0.810 x4
Pa1 0.000 0.500 0.000 x2
C1 0.092 0.000 0.902 x4
C2 0.199 0.500 0.296 x4

***

Starting from a cell relaxed with PBE, the X-ray powder pattern of Ca2Hg3Pd2 was simulated for Cu Kα (λ = 1.5418 Å).
Neutral-atom scattering factors, no anomalous dispersion.

Top 12 peaks for 10 to 90 degrees two-theta, in order of rising 2θ:
- 2θ = 18.59°, rel. 78
- 2θ = 22.01°, rel. 39
- 2θ = 31.22°, rel. 21
- 2θ = 33.40°, rel. 65
- 2θ = 36.08°, rel. 100
- 2θ = 36.49°, rel. 22
- 2θ = 37.01°, rel. 29
- 2θ = 40.14°, rel. 31
- 2θ = 40.51°, rel. 43
- 2θ = 41.61°, rel. 21
- 2θ = 66.21°, rel. 19
- 2θ = 68.01°, rel. 18

Structure:
Unit cell a=10.162 b=4.454 c=7.489 alpha=90.00 beta=109.50 gamma=90.00
Space group C2/m (No. 12)
Inequivalent atoms, fractional coordinates:
Ca1 0.143 0.000 0.278 x4
Hg1 0.000 0.500 0.500 x2
Hg2 0.130 0.500 0.948 x4
Pd1 0.144 0.000 0.697 x4

***

Starting from a cell relaxed with PBE, the X-ray powder pattern of Pm2Dy12Zr was simulated for Cu Kα (λ = 1.5418 Å).
Neutral-atom scattering factors, no anomalous dispersion.

Top 12 peaks for 10 to 90 degrees two-theta, in order of rising 2θ:
- 2θ = 30.66°, rel. 47
- 2θ = 31.14°, rel. 24
- 2θ = 31.65°, rel. 87
- 2θ = 31.72°, rel. 55
- 2θ = 32.22°, rel. 100
- 2θ = 34.02°, rel. 61
- 2θ = 35.82°, rel. 21
- 2θ = 45.00°, rel. 17
- 2θ = 51.89°, rel. 18
- 2θ = 56.39°, rel. 21
- 2θ = 56.74°, rel. 20
- 2θ = 62.07°, rel. 22

Structure:
Unit cell a=7.052 b=11.307 c=24.000 alpha=90.00 beta=96.87 gamma=90.00
Space group C2/m (No. 12)
Inequivalent atoms, fractional coordinates:
Pm1 0.218 0.000 0.233 x4
Pm2 0.219 0.500 0.234 x4
Dy1 0.010 0.249 0.306 x8
Dy2 0.012 0.500 0.381 x4
Dy3 0.015 0.000 0.380 x4
Dy4 0.057 0.249 0.827 x8
Dy5 0.094 0.500 0.925 x4
Dy6 0.096 0.000 0.925 x4
Dy7 0.148 0.249 0.056 x8
Dy8 0.174 0.247 0.565 x8
Zr1 0.232 0.500 0.503 x4